The following is a computed PXRD pattern of Sr2MgZn2Sn2P4O16. It was derived from the GGA-PBE geometry in the Materials Project, using Cu Kα (λ = 1.5418 Å).

Crystal structure
a b c (Å): 5.362 7.357 10.771
angles (deg): 102.68 100.66 96.11
Space group P1 (No. 1)
Symmetry-distinct sites (fractional):
1 Sr 0.000 0.000 0.000 x1
2 Sr 0.445 0.589 0.069 x1
3 Mg 0.655 0.834 0.383 x1
4 Zn 0.193 0.376 0.313 x1
5 Zn 0.252 0.240 0.747 x1
6 Sn 0.483 0.108 0.559 x1
7 Sn 0.894 0.700 0.662 x1
8 P 0.046 0.750 0.275 x1
9 P 0.426 0.838 0.808 x1
10 P 0.577 0.182 0.263 x1
11 P 0.845 0.415 0.836 x1
12 O 0.043 0.767 0.135 x1
13 O 0.060 0.931 0.383 x1
14 O 0.082 0.344 0.909 x1
15 O 0.192 0.955 0.787 x1
16 O 0.283 0.645 0.316 x1
17 O 0.317 0.641 0.715 x1
18 O 0.372 0.243 0.162 x1
19 O 0.493 0.845 0.955 x1
20 O 0.511 0.284 0.399 x1
21 O 0.538 0.968 0.247 x1
22 O 0.606 0.369 0.890 x1
23 O 0.665 0.931 0.770 x1
24 O 0.790 0.626 0.274 x1
25 O 0.822 0.321 0.688 x1
26 O 0.851 0.245 0.248 x1
27 O 0.905 0.633 0.850 x1

The 12 most intense peaks (2θ = 10–80°), low angle first:
h k l	two_theta	I/Imax
0 0 2	17.3	32.7
1 -1 1	21.6	50.4
1 1 1	26.6	64.4
0 2 -2	26.8	100.0
1 0 -3	28.0	22.8
1 -1 3	33.3	23.6
-1 2 2	34.6	25.6
2 -1 0	34.8	26.9
-2 1 3	41.2	25.5
2 0 2	42.2	23.4
1 3 -1	42.6	19.9
0 1 5	49.1	24.4

=====

The following is a computed PXRD pattern of Sr2MgZn2Sn2P4O16. It was derived from the GGA-PBE geometry in the Materials Project, using Cu Kα (λ = 1.5418 Å).

Crystal structure
a b c (Å): 5.764 8.284 9.623
angles (deg): 69.99 75.14 87.77
Space group P1 (No. 1)
Symmetry-distinct sites (fractional):
1 Sr 0.000 0.000 0.000 x1
2 Sr 0.188 0.463 0.969 x1
3 Mg 0.582 0.657 0.066 x1
4 Zn 0.966 0.097 0.431 x1
5 Zn 0.999 0.470 0.606 x1
6 Sn 0.360 0.011 0.508 x1
7 Sn 0.571 0.676 0.471 x1
8 P 0.265 0.788 0.249 x1
9 P 0.468 0.251 0.722 x1
10 P 0.677 0.317 0.187 x1
11 P 0.797 0.743 0.767 x1
12 O 0.114 0.942 0.257 x1
13 O 0.216 0.637 0.408 x1
14 O 0.233 0.731 0.117 x1
15 O 0.344 0.414 0.635 x1
16 O 0.364 0.212 0.894 x1
17 O 0.384 0.092 0.691 x1
18 O 0.424 0.364 0.170 x1
19 O 0.546 0.651 0.853 x1
20 O 0.550 0.820 0.210 x1
21 O 0.669 0.184 0.356 x1
22 O 0.746 0.286 0.666 x1
23 O 0.796 0.880 0.612 x1
24 O 0.809 0.488 0.164 x1
25 O 0.829 0.239 0.072 x1
26 O 0.860 0.814 0.885 x1
27 O 0.984 0.606 0.744 x1

The 12 most intense peaks (2θ = 10–80°), low angle first:
h k l	two_theta	I/Imax
0 0 1	10.1	39.2
0 1 1	12.4	24.2
0 0 2	20.3	47.6
0 2 1	21.6	39.5
0 2 2	24.9	100.0
1 1 -1	26.0	95.7
1 -2 0	27.3	47.0
1 -1 2	27.9	34.2
1 2 0	28.7	41.3
1 0 3	30.8	40.6
2 1 2	33.6	60.5
-2 1 1	36.5	32.3

=====

The following is a computed PXRD pattern of Sr2MgZn2Sn2P4O16. It was derived from the GGA-PBE geometry in the Materials Project, using Cu Kα (λ = 1.5418 Å).

Crystal structure
a b c (Å): 5.781 7.694 9.908
angles (deg): 112.42 98.96 94.83
Space group P1 (No. 1)
Symmetry-distinct sites (fractional):
1 Sr 0.000 0.000 0.000 x1
2 Sr 0.294 0.647 0.091 x1
3 Mg 0.597 0.257 0.971 x1
4 Zn 0.151 0.502 0.435 x1
5 Zn 0.193 0.126 0.634 x1
6 Sn 0.613 0.949 0.512 x1
7 Sn 0.775 0.612 0.546 x1
8 P 0.364 0.840 0.780 x1
9 P 0.487 0.245 0.216 x1
10 P 0.759 0.389 0.786 x1
11 P 0.925 0.799 0.291 x1
12 O 0.119 0.680 0.318 x1
13 O 0.169 0.961 0.751 x1
14 O 0.291 0.766 0.893 x1
15 O 0.335 0.296 0.090 x1
16 O 0.379 0.051 0.204 x1
17 O 0.382 0.679 0.632 x1
18 O 0.467 0.403 0.374 x1
19 O 0.488 0.317 0.779 x1
20 O 0.604 0.982 0.847 x1
21 O 0.668 0.708 0.280 x1
22 O 0.738 0.254 0.179 x1
23 O 0.787 0.572 0.758 x1
24 O 0.867 0.230 0.674 x1
25 O 0.876 0.417 0.947 x1
26 O 0.943 0.824 0.148 x1
27 O 0.961 0.994 0.433 x1

The 12 most intense peaks (2θ = 10–80°), low angle first:
h k l	two_theta	I/Imax
0 1 -1	12.6	45.5
1 0 -1	16.8	19.5
0 0 2	19.8	26.5
0 2 -2	25.2	95.2
1 1 1	27.2	100.0
1 0 -3	30.9	44.4
-1 2 1	31.8	29.3
1 -1 3	33.7	20.4
2 1 -2	35.2	23.5
1 -2 3	35.5	23.3
2 -2 0	37.6	24.1
1 3 -1	40.7	21.7

=====

The following is a computed PXRD pattern of Sr2MgZn2Sn2P4O16. It was derived from the GGA-PBE geometry in the Materials Project, using Cu Kα (λ = 1.5418 Å).

Crystal structure
a b c (Å): 5.819 7.357 9.871
angles (deg): 106.01 100.96 94.88
Space group P1 (No. 1)
Symmetry-distinct sites (fractional):
1 Sr 0.000 0.000 0.000 x1
2 Sr 0.455 0.496 0.042 x1
3 Mg 0.945 0.396 0.255 x1
4 Zn 0.302 0.870 0.412 x1
5 Zn 0.365 0.320 0.636 x1
6 Sn 0.012 0.516 0.647 x1
7 Sn 0.793 0.862 0.604 x1
8 P 0.393 0.968 0.778 x1
9 P 0.430 0.415 0.346 x1
10 P 0.769 0.930 0.255 x1
11 P 0.863 0.375 0.887 x1
12 O 0.062 0.533 0.884 x1
13 O 0.155 0.828 0.757 x1
14 O 0.263 0.289 0.202 x1
15 O 0.267 0.578 0.396 x1
16 O 0.364 0.032 0.635 x1
17 O 0.405 0.127 0.916 x1
18 O 0.492 0.312 0.460 x1
19 O 0.517 0.890 0.284 x1
20 O 0.603 0.852 0.785 x1
21 O 0.623 0.424 0.819 x1
22 O 0.655 0.504 0.310 x1
23 O 0.772 0.786 0.108 x1
24 O 0.827 0.132 0.243 x1
25 O 0.870 0.386 0.047 x1
26 O 0.913 0.177 0.806 x1
27 O 0.965 0.901 0.379 x1

The 12 most intense peaks (2θ = 10–80°), low angle first:
h k l	two_theta	I/Imax
1 1 -1	20.5	54.3
0 2 0	25.5	100.0
1 1 1	26.5	50.5
1 -1 2	26.7	42.4
0 0 3	29.0	38.7
1 1 -3	29.8	95.2
-1 2 1	31.0	34.1
2 0 0	31.7	50.3
2 -1 0	32.4	53.2
1 1 2	33.7	54.3
2 -2 0	37.9	39.6
-1 2 3	43.8	27.3

=====

The following is a computed PXRD pattern of Sr2MgZn2Sn2P4O16. It was derived from the GGA-PBE geometry in the Materials Project, using Cu Kα (λ = 1.5418 Å).

Crystal structure
a b c (Å): 5.452 8.179 9.872
angles (deg): 69.91 80.15 85.53
Space group P1 (No. 1)
Symmetry-distinct sites (fractional):
1 Sr 0.000 0.000 0.000 x1
2 Sr 0.289 0.493 0.966 x1
3 Mg 0.056 0.012 0.669 x1
4 Zn 0.161 0.467 0.551 x1
5 Zn 0.232 0.076 0.332 x1
6 Sn 0.621 0.881 0.450 x1
7 Sn 0.759 0.528 0.433 x1
8 P 0.386 0.773 0.209 x1
9 P 0.509 0.188 0.744 x1
10 P 0.756 0.285 0.215 x1
11 P 0.894 0.692 0.740 x1
12 O 0.106 0.564 0.711 x1
13 O 0.176 0.906 0.237 x1
14 O 0.324 0.723 0.084 x1
15 O 0.369 0.042 0.723 x1
16 O 0.378 0.225 0.880 x1
17 O 0.383 0.611 0.357 x1
18 O 0.474 0.272 0.211 x1
19 O 0.490 0.352 0.598 x1
20 O 0.639 0.615 0.782 x1
21 O 0.641 0.858 0.184 x1
22 O 0.790 0.145 0.749 x1
23 O 0.813 0.452 0.244 x1
24 O 0.843 0.124 0.346 x1
25 O 0.898 0.860 0.593 x1
26 O 0.918 0.281 0.073 x1
27 O 0.984 0.773 0.844 x1

The 12 most intense peaks (2θ = 10–80°), low angle first:
h k l	two_theta	I/Imax
0 1 1	12.3	25.1
1 0 -1	20.4	37.0
0 2 0	23.2	33.8
0 2 2	24.7	90.1
1 1 -1	24.9	100.0
0 1 3	27.5	25.1
1 -1 2	29.2	37.1
1 0 3	31.4	38.6
1 -2 1	32.2	25.6
2 0 1	33.3	28.8
2 1 2	35.6	26.7
1 3 1	36.1	44.8

=====

The following is a computed PXRD pattern of Sr2MgZn2Sn2P4O16. It was derived from the GGA-PBE geometry in the Materials Project, using Cu Kα (λ = 1.5418 Å).

Crystal structure
a b c (Å): 5.425 7.597 10.039
angles (deg): 73.97 86.62 87.62
Space group P1 (No. 1)
Symmetry-distinct sites (fractional):
1 Sr 0.000 0.000 0.000 x1
2 Sr 0.381 0.461 0.053 x1
3 Mg 0.952 0.073 0.629 x1
4 Zn 0.004 0.633 0.371 x1
5 Zn 0.380 0.806 0.707 x1
6 Sn 0.433 0.147 0.412 x1
7 Sn 0.650 0.611 0.568 x1
8 P 0.448 0.207 0.761 x1
9 P 0.485 0.836 0.234 x1
10 P 0.869 0.656 0.825 x1
11 P 0.905 0.280 0.279 x1
12 O 0.039 0.644 0.944 x1
13 O 0.109 0.411 0.295 x1
14 O 0.259 0.062 0.738 x1
15 O 0.351 0.809 0.113 x1
16 O 0.361 0.249 0.896 x1
17 O 0.361 0.714 0.374 x1
18 O 0.434 0.369 0.625 x1
19 O 0.455 0.043 0.236 x1
20 O 0.606 0.719 0.870 x1
21 O 0.641 0.372 0.273 x1
22 O 0.710 0.118 0.766 x1
23 O 0.768 0.794 0.223 x1
24 O 0.844 0.483 0.776 x1
25 O 0.885 0.123 0.423 x1
26 O 0.973 0.216 0.151 x1
27 O 0.983 0.805 0.693 x1

The 12 most intense peaks (2θ = 10–80°), low angle first:
h k l	two_theta	I/Imax
1 1 1	20.4	59.1
0 2 1	23.6	46.3
1 -1 1	23.7	45.1
0 2 0	24.4	39.2
0 2 2	26.3	100.0
1 -1 2	29.5	90.1
1 1 -2	30.2	54.4
1 1 3	30.9	46.8
1 2 -1	32.9	40.5
1 0 -3	33.1	72.6
2 0 3	42.6	43.6
-2 2 2	44.0	40.4